Record 1
Computed powder diffraction line list of MgCd for CuKα, from the GGA-PBE geometry in the Materials Project.
Kinematic intensities with the Lorentz-polarization factor, no thermal factor.

The 8 most intense peaks (2θ from 10° to 90°), most intense first:
- 33.5 deg, rel. 100, (0 1 2)
- 40.4 deg, rel. 59, (1 0 4)
- 18.9 deg, rel. 55, (0 0 3)
- 31.6 deg, rel. 47, (1 0 1)
- 38.3 deg, rel. 23, (0 0 6)
- 55.1 deg, rel. 23, (1 1 0)
- 69.1 deg, rel. 23, (1 1 6)
- 44.9 deg, rel. 17, (0 1 5)

Atomic structure:
abc: 3.3348 3.3348 14.1026
angles: 90.00 90.00 120.00
Space group R-3m (No. 166, hexagonal axes)
One atom of each set of equivalent atoms:
Mg (0.0000, 0.0000, 0.0000) x3
Cd (0.0000, 0.0000, 0.5000) x3



Record 2
Computed powder diffraction line list of Ce4Co3B6 for CuKα, from the GGA-PBE geometry in the Materials Project.
Kinematic intensities with the Lorentz-polarization factor, no thermal factor.

The 8 most intense peaks (2θ from 10° to 90°), most intense first:
- 34.4 deg, rel. 100, (1 1 0)
- 42.6 deg, rel. 52, (1 1 6)
- 24.4 deg, rel. 27, (0 0 6)
- 38.5 deg, rel. 27, (0 1 8)
- 34.9 deg, rel. 25, (1 0 7)
- 61.6 deg, rel. 21, (3 0 0)
- 74.5 deg, rel. 14, (1 1 15)
- 64.3 deg, rel. 11, (1 2 8)

Atomic structure:
abc: 5.2144 5.2144 21.8789
angles: 90.00 90.00 120.00
Space group R-3m (No. 166, hexagonal axes)
One atom of each set of equivalent atoms:
Ce (0.0000, 0.0000, 0.0973) x6
Ce (0.0000, 0.0000, 0.2365) x6
Co (0.0000, 0.0000, 0.3866) x6
Co (0.0000, 0.0000, 0.5000) x3
B (0.0000, 0.3310, 0.0000) x18



Record 3
Computed powder diffraction line list of CeSnAu2 for CuKα, from the GGA-PBE geometry in the Materials Project.
Kinematic intensities with the Lorentz-polarization factor, no thermal factor.

The 8 most intense peaks (2θ from 10° to 90°), most intense first:
- 35.5 deg, rel. 100, (2 2 0)
- 63.8 deg, rel. 37, (4 2 2)
- 51.1 deg, rel. 18, (4 0 0)
- 86.0 deg, rel. 17, (6 2 0)
- 75.2 deg, rel. 12, (4 4 0)
- 24.9 deg, rel. 5, (2 0 0)
- 57.7 deg, rel. 2, (4 2 0)
- 43.9 deg, rel. 2, (2 2 2)

Atomic structure:
abc: 7.147 7.147 7.147
angles: 90.00 90.00 90.00
Space group Fm-3m (No. 225)
One atom of each set of equivalent atoms:
Ce (0.000, 0.000, 0.000) x4
Sn (0.000, 0.000, 0.500) x4
Au (0.250, 0.250, 0.250) x8



Record 4
Computed powder diffraction line list of SrLaHg2 for CuKα, from the GGA-PBE geometry in the Materials Project.
Kinematic intensities with the Lorentz-polarization factor, no thermal factor.

The 8 most intense peaks (2θ from 10° to 90°), most intense first:
- 32.0 deg, rel. 100, (2 2 0)
- 57.0 deg, rel. 39, (4 2 2)
- 45.9 deg, rel. 19, (4 0 0)
- 76.1 deg, rel. 17, (6 2 0)
- 66.9 deg, rel. 12, (4 4 0)
- 22.5 deg, rel. 9, (2 0 0)
- 84.9 deg, rel. 4, (4 4 4)
- 51.7 deg, rel. 4, (4 2 0)

Atomic structure:
abc: 7.910 7.910 7.910
angles: 90.00 90.00 90.00
Space group Fm-3m (No. 225)
One atom of each set of equivalent atoms:
Sr (0.000, 0.000, 0.000) x4
La (0.000, 0.000, 0.500) x4
Hg (0.250, 0.250, 0.250) x8